For TbY3Te4, a cell relaxed with GGA-PBE gives the calculated X-ray diffraction stick pattern in this record (Cu Kα (weighted mean of Kα1 and Kα2)).

Main lines, low angle first (2θ = 10–90°):
- 2θ = 28.9°, intensity 100
- 2θ = 41.2°, intensity 13
- 2θ = 41.3°, intensity 50
- 2θ = 41.6°, intensity 12
- 2θ = 51.0°, intensity 13
- 2θ = 51.4°, intensity 13
- 2θ = 60.0°, intensity 8
- 2θ = 67.8°, intensity 11
- 2θ = 67.9°, intensity 11
- 2θ = 75.1°, intensity 13

Structural model:
```
data_TbY3Te4
_chemical_formula_sum 'Tb2 Y6 Te8'
_symmetry_space_group_name_H-M 'P 1 2/c 1'
_symmetry_Int_Tables_number 13
_cell_length_a 7.5846
_cell_length_b 8.6770
_cell_length_c 7.5845
_cell_angle_alpha 90.00
_cell_angle_beta 109.34
_cell_angle_gamma 90.00
loop_
_symmetry_equiv_pos_as_xyz
'x,y,z'
'-x,-y,-z'
'-x,y,-z+1/2'
'x,-y,z+1/2'
loop_
_atom_site_label
_atom_site_type_symbol
_atom_site_fract_x
_atom_site_fract_y
_atom_site_fract_z
_atom_site_occupancy
Tb1 Tb 0.0000 0.1250 0.2500 1
Y1 Y 0.0000 0.3741 0.7500 1
Y2 Y 0.5000 0.1250 0.7500 1
Y3 Y 0.5000 0.3740 0.2500 1
Te1 Te 0.2502 0.3757 0.5003 1
Te2 Te 0.2505 0.1249 0.9999 1
```

For CsSi6, a cell relaxed with GGA-PBE gives the calculated X-ray diffraction stick pattern in this record (Cu Kα (weighted mean of Kα1 and Kα2)).

Main lines, low angle first (2θ = 10–90°):
- 2θ = 18.4°, intensity 26
- 2θ = 26.1°, intensity 44
- 2θ = 32.1°, intensity 100
- 2θ = 50.0°, intensity 55
- 2θ = 53.7°, intensity 14
- 2θ = 60.7°, intensity 16
- 2θ = 64.0°, intensity 13
- 2θ = 76.4°, intensity 16
- 2θ = 79.4°, intensity 9
- 2θ = 88.3°, intensity 17

Structural model:
```
data_CsSi6
_chemical_formula_sum 'Cs2 Si12'
_symmetry_space_group_name_H-M 'I m -3 m'
_symmetry_Int_Tables_number 229
_symmetry_space_group_name_Hall '-I 4 2 3'
_cell_length_a 6.8255
_cell_length_b 6.8255
_cell_length_c 6.8255
_cell_angle_alpha 90.00
_cell_angle_beta 90.00
_cell_angle_gamma 90.00
loop_
_atom_site_label
_atom_site_type_symbol
_atom_site_fract_x
_atom_site_fract_y
_atom_site_fract_z
_atom_site_occupancy
Cs1 Cs 0.0000 0.0000 0.0000 1
Si1 Si 0.0000 0.2500 0.5000 1
```

For NaAs3Pb4O12, a cell relaxed with GGA-PBE gives the calculated X-ray diffraction stick pattern in this record (Cu Kα (weighted mean of Kα1 and Kα2)).

Main lines, low angle first (2θ = 10–90°):
- 2θ = 15.5°, intensity 22
- 2θ = 21.0°, intensity 25
- 2θ = 23.8°, intensity 28
- 2θ = 29.2°, intensity 100
- 2θ = 29.6°, intensity 59
- 2θ = 30.2°, intensity 48
- 2θ = 42.8°, intensity 22
- 2θ = 45.3°, intensity 33
- 2θ = 46.2°, intensity 30
- 2θ = 47.6°, intensity 23

Structural model:
```
data_NaAs3Pb4O12
_chemical_formula_sum 'Na2 As6 Pb8 O24'
_symmetry_space_group_name_H-M 'P 63'
_symmetry_Int_Tables_number 173
_cell_length_a 10.2573
_cell_length_b 10.2573
_cell_length_c 7.4814
_cell_angle_alpha 90.00
_cell_angle_beta 90.00
_cell_angle_gamma 120.00
loop_
_symmetry_equiv_pos_as_xyz
'x,y,z'
'x-y,x,z+1/2'
'-y,x-y,z'
'-x,-y,z+1/2'
'-x+y,-x,z'
'y,-x+y,z+1/2'
loop_
_atom_site_label
_atom_site_type_symbol
_atom_site_fract_x
_atom_site_fract_y
_atom_site_fract_z
_atom_site_occupancy
Na1 Na 0.3333 0.6667 0.0000 1
As1 As 0.0212 0.6251 0.7493 1
Pb1 Pb 0.0043 0.2664 0.7633 1
Pb2 Pb 0.3333 0.6667 0.4784 1
O1 O 0.0740 0.7574 0.9178 1
O2 O 0.0978 0.7329 0.5587 1
O3 O 0.1145 0.5240 0.7774 1
O4 O 0.1699 0.4910 0.2391 1
```